For Sc4Si7Ni, DFT lattice parameters and positions (PBE) gives the calculated powder X-ray diffraction pattern in this record (Cu Ka).

```
data_Sc4Si7Ni
_cell_length_a 3.6601
_cell_length_b 3.8439
_cell_length_c 13.9726
_cell_angle_alpha 90.00
_cell_angle_beta 90.00
_cell_angle_gamma 90.00
_space_group_name_H-M_alt 'P m m 2'
_space_group_IT_number 25
_space_group_name_Hall 'P 2 -2'
loop_
_atom_site_label
_atom_site_fract_x
_atom_site_fract_y
_atom_site_fract_z
_atom_site_occupancy
Sc1 0.0000 0.0000 0.0000 1
Sc2 0.0000 0.5000 0.4839 1
Sc3 0.5000 0.0000 0.1799 1
Sc4 0.5000 0.5000 0.6943 1
Si1 0.0000 0.0000 0.3362 1
Si2 0.0000 0.0000 0.6410 1
Si3 0.0000 0.5000 0.1320 1
Si4 0.0000 0.5000 0.8545 1
Si5 0.5000 0.0000 0.5294 1
Si6 0.5000 0.0000 0.8529 1
Si7 0.5000 0.5000 0.3274 1
Ni1 0.5000 0.5000 0.9930 1
```

Main lines, in order of rising 2θ (2θ from 15° to 90°):
Position (°2θ)  I_rel  index
38.66  17  0 0 6
39.10  100  1 1 3
47.29  18  0 2 0
49.83  13  2 0 0
62.67  8  0 2 6
64.79  8  2 0 6
71.14  9  2 2 0
82.39  10  1 3 3
84.02  7  2 2 6
86.20  9  3 1 3